Theoretical powder XRD pattern of Sm10As8Au3O10 for copper Kα, from a GGA-PBE-relaxed structure.

Structure:
Cell: 9.178 9.178 14.530 Å, 90.00 90.00 90.00°
Space group I4/m (No. 87)
Unique sites:
Sm 0.000 0.000 0.165 [4 per cell]
Sm 0.100 0.295 0.324 [16 per cell]
As 0.090 0.772 0.000 [8 per cell]
As 0.129 0.751 0.500 [8 per cell]
Au 0.000 0.000 0.500 [2 per cell]
Au 0.000 0.500 0.000 [4 per cell]
O 0.000 0.500 0.250 [4 per cell]
O 0.100 0.802 0.247 [16 per cell]

Most intense lines, 2θ from 10° to 90°, in order of rising 2θ:
d_spacing	2theta	I (rel.)	h k l
3.950	22.51	13	2 1 1
3.131	28.50	100	2 1 3
2.695	33.24	44	1 3 2
2.422	37.13	28	0 0 6
2.267	39.75	26	1 3 4
2.052	44.13	39	4 2 0
1.716	53.38	29	5 0 3
1.566	59.00	26	4 2 6
1.540	60.10	16	1 3 8
1.451	64.17	11	2 6 0